For ZrO2, a structure optimized by DFT (GGA-PBE) gives the simulated PXRD pattern in this record (Cu Kα (λ = 1.5418 Å)).
Peak positions follow from Bragg's law for the DFT cell and can differ from measured ones.

Atomic structure:
Cell: 4.9572 5.9163 16.3167 Å, 90.00 90.00 90.00°
Space group Pbcn (No. 60)
One atom of each set of equivalent atoms:
Zr  0.0000  0.0171  0.2500 x4
Zr  0.0025  0.3458  0.0841 x8
O  0.2028  0.3712  0.5302 x8
O  0.2093  0.0676  0.3626 x8
O  0.2192  0.3065  0.1959 x8

Main lines, sorted by position (10 to 90 degrees two-theta):
3.701 Å, I = 48
3.444 Å, I = 100
3.115 Å, I = 64
2.781 Å, I = 59
2.719 Å, I = 32
2.599 Å, I = 23
2.477 Å, I = 26
1.832 Å, I = 65
1.794 Å, I = 33
1.520 Å, I = 26